1.
Diffraction record for PmTh2Pt. The PXRD pattern is simulated, not measured: it uses a crystal structure in Alexandria, relaxed with GGA-PBE and λ = 1.5418 Å (Cu Kα).
Kinematic intensities with the Lorentz-polarization factor, no thermal factor.

Peak list (6 most intense, 10 to 80 degrees two-theta, in order of rising 2θ)
d/Å  I_rel
2.960  100
2.658  42
2.577  20
2.485  39
2.424  42
1.641  21

Crystal structure
```
data_PmTh2Pt
_chemical_formula_sum 'Pm2 Th4 Pt2'
_space_group_name_H-M_alt 'P 1'
_space_group_IT_number 1
_cell_length_a 6.2646
_cell_length_b 6.2646
_cell_length_c 10.2209
_cell_angle_alpha 90.00
_cell_angle_beta 90.00
_cell_angle_gamma 144.56
loop_
_space_group_symop_operation_xyz
'x,y,z'
loop_
_atom_site_label
_atom_site_type_symbol
_atom_site_fract_x
_atom_site_fract_y
_atom_site_fract_z
Pm1 Pm 0.0823 0.9177 0.7500
Pm2 Pm 0.9177 0.0823 0.2500
Th1 Th 0.3635 0.6365 0.5522
Th2 Th 0.3635 0.6365 0.9478
Th3 Th 0.6365 0.3635 0.0522
Th4 Th 0.6365 0.3635 0.4478
Pt1 Pt 0.2120 0.7880 0.2500
Pt2 Pt 0.7880 0.2120 0.7500
```

2.
Diffraction record for Nd2Y2Th15. The PXRD pattern is simulated, not measured: it uses a crystal structure in Alexandria, relaxed with GGA-PBE and λ = 1.5418 Å (Cu Kα).
Kinematic intensities with the Lorentz-polarization factor, no thermal factor.

Peak list (6 most intense, 10 to 80 degrees two-theta, in order of rising 2θ)
d/Å  I_rel
5.766  29
2.878  100
2.857  32
2.574  66
1.665  17
1.653  20

Crystal structure
```
data_Nd2Y2Th15
_chemical_formula_sum 'Nd2 Y2 Th15'
_space_group_name_H-M_alt 'P 1'
_space_group_IT_number 1
_cell_length_a 8.7740
_cell_length_b 8.7740
_cell_length_c 8.7740
_cell_angle_alpha 82.17
_cell_angle_beta 82.17
_cell_angle_gamma 82.17
loop_
_space_group_symop_operation_xyz
'x,y,z'
loop_
_atom_site_label
_atom_site_type_symbol
_atom_site_fract_x
_atom_site_fract_y
_atom_site_fract_z
Nd1 Nd 0.1597 0.1597 0.1597
Nd2 Nd 0.8403 0.8403 0.8403
Y1 Y 0.3989 0.3989 0.3989
Y2 Y 0.6011 0.6011 0.6011
Th1 Th 0.0000 0.5000 0.5000
Th2 Th 0.1543 0.1543 0.6753
Th3 Th 0.1543 0.6753 0.1543
Th4 Th 0.1962 0.5000 0.8038
Th5 Th 0.1962 0.8038 0.5000
Th6 Th 0.3247 0.8457 0.8457
Th7 Th 0.5000 0.0000 0.5000
Th8 Th 0.5000 0.1962 0.8038
Th9 Th 0.5000 0.5000 0.0000
Th10 Th 0.5000 0.8038 0.1962
Th11 Th 0.6753 0.1543 0.1543
Th12 Th 0.8038 0.1962 0.5000
Th13 Th 0.8038 0.5000 0.1962
Th14 Th 0.8457 0.3247 0.8457
Th15 Th 0.8457 0.8457 0.3247
```

3.
Diffraction record for Ac2ErPd6Pb3. The PXRD pattern is simulated, not measured: it uses a crystal structure in Alexandria, relaxed with GGA-PBE and λ = 1.5418 Å (Cu Kα).
Kinematic intensities with the Lorentz-polarization factor, no thermal factor.

Peak list (6 most intense, 10 to 80 degrees two-theta, in order of rising 2θ)
d/Å  I_rel
3.779  48
3.451  100
2.914  61
2.880  61
2.310  85
2.060  81

Crystal structure
```
data_Ac2ErPd6Pb3
_chemical_formula_sum 'Ac2 Er1 Pd6 Pb3'
_space_group_name_H-M_alt 'P 1'
_space_group_IT_number 1
_cell_length_a 4.1208
_cell_length_b 4.1208
_cell_length_c 18.9401
_cell_angle_alpha 90.00
_cell_angle_beta 90.00
_cell_angle_gamma 90.00
loop_
_space_group_symop_operation_xyz
'x,y,z'
loop_
_atom_site_label
_atom_site_type_symbol
_atom_site_fract_x
_atom_site_fract_y
_atom_site_fract_z
Ac1 Ac 0.0000 0.0000 0.1159
Ac2 Ac 0.0000 0.0000 0.8841
Er1 Er 0.0000 0.0000 0.5000
Pd1 Pd 0.0000 0.5000 0.3966
Pd2 Pd 0.0000 0.5000 0.6034
Pd3 Pd 0.5000 0.0000 0.3966
Pd4 Pd 0.5000 0.0000 0.6034
Pd5 Pd 0.5000 0.5000 0.1557
Pd6 Pd 0.5000 0.5000 0.8443
Pb1 Pb 0.5000 0.5000 0.0000
Pb2 Pb 0.5000 0.5000 0.2980
Pb3 Pb 0.5000 0.5000 0.7020
```

4.
Diffraction record for Dy2Ho3Cu3. The PXRD pattern is simulated, not measured: it uses a crystal structure in Alexandria, relaxed with GGA-PBE and λ = 1.5418 Å (Cu Kα).
Kinematic intensities with the Lorentz-polarization factor, no thermal factor.

Peak list (6 most intense, 10 to 80 degrees two-theta, in order of rising 2θ)
d/Å  I_rel
3.215  18
2.599  13
2.531  100
1.815  9
1.463  14
1.448  8

Crystal structure
```
data_Dy2Ho3Cu3
_chemical_formula_sum 'Dy2 Ho3 Cu3'
_space_group_name_H-M_alt 'P 1'
_space_group_IT_number 1
_cell_length_a 10.8435
_cell_length_b 10.8435
_cell_length_c 10.8435
_cell_angle_alpha 161.27
_cell_angle_beta 152.95
_cell_angle_gamma 33.10
loop_
_space_group_symop_operation_xyz
'x,y,z'
loop_
_atom_site_label
_atom_site_type_symbol
_atom_site_fract_x
_atom_site_fract_y
_atom_site_fract_z
Dy1 Dy 0.2261 0.2261 0.0000
Dy2 Dy 0.7739 0.7739 0.0000
Ho1 Ho 0.0000 0.0000 0.0000
Ho2 Ho 0.3843 0.8843 0.5000
Ho3 Ho 0.6157 0.1157 0.5000
Cu1 Cu 0.1142 0.6142 0.5000
Cu2 Cu 0.5000 0.5000 0.0000
Cu3 Cu 0.8858 0.3858 0.5000
```

5.
Diffraction record for Ba2Li17Pt3. The PXRD pattern is simulated, not measured: it uses a crystal structure in Alexandria, relaxed with GGA-PBE and λ = 1.5418 Å (Cu Kα).
Kinematic intensities with the Lorentz-polarization factor, no thermal factor.

Peak list (6 most intense, 10 to 80 degrees two-theta, in order of rising 2θ)
d/Å  I_rel
7.925  100
5.894  53
5.090  90
4.436  56
2.676  64
2.369  71

Crystal structure
```
data_Ba2Li17Pt3
_chemical_formula_sum 'Ba2 Li17 Pt3'
_space_group_name_H-M_alt 'P 1'
_space_group_IT_number 1
_cell_length_a 8.0072
_cell_length_b 8.0072
_cell_length_c 8.0072
_cell_angle_alpha 83.90
_cell_angle_beta 83.90
_cell_angle_gamma 83.90
loop_
_space_group_symop_operation_xyz
'x,y,z'
loop_
_atom_site_label
_atom_site_type_symbol
_atom_site_fract_x
_atom_site_fract_y
_atom_site_fract_z
Ba1 Ba 0.1653 0.1653 0.1653
Ba2 Ba 0.8347 0.8347 0.8347
Li1 Li 0.0000 0.5000 0.5000
Li2 Li 0.1652 0.1652 0.6603
Li3 Li 0.1652 0.6603 0.1652
Li4 Li 0.2294 0.5000 0.7706
Li5 Li 0.2294 0.7706 0.5000
Li6 Li 0.3397 0.8348 0.8348
Li7 Li 0.4102 0.4102 0.4102
Li8 Li 0.5000 0.0000 0.5000
Li9 Li 0.5000 0.2294 0.7706
Li10 Li 0.5000 0.5000 0.0000
Li11 Li 0.5000 0.7706 0.2294
Li12 Li 0.5898 0.5898 0.5898
Li13 Li 0.6603 0.1652 0.1652
Li14 Li 0.7706 0.2294 0.5000
Li15 Li 0.7706 0.5000 0.2294
Li16 Li 0.8348 0.3397 0.8348
Li17 Li 0.8348 0.8348 0.3397
Pt1 Pt 0.0000 0.0000 0.5000
Pt2 Pt 0.0000 0.5000 0.0000
Pt3 Pt 0.5000 0.0000 0.0000
```

6.
Diffraction record for NdThCuPt. The PXRD pattern is simulated, not measured: it uses a crystal structure in Alexandria, relaxed with GGA-PBE and λ = 1.5418 Å (Cu Kα).
Kinematic intensities with the Lorentz-polarization factor, no thermal factor.

Peak list (6 most intense, 10 to 80 degrees two-theta, in order of rising 2θ)
d/Å  I_rel
5.695  31
2.847  35
2.825  100
2.722  20
2.313  68
2.192  25

Crystal structure
```
data_NdThCuPt
_chemical_formula_sum 'Nd1 Th1 Cu1 Pt1'
_space_group_name_H-M_alt 'P 1'
_space_group_IT_number 1
_cell_length_a 4.3842
_cell_length_b 6.0200
_cell_length_c 6.0200
_cell_angle_alpha 37.85
_cell_angle_beta 90.00
_cell_angle_gamma 90.00
loop_
_space_group_symop_operation_xyz
'x,y,z'
loop_
_atom_site_label
_atom_site_type_symbol
_atom_site_fract_x
_atom_site_fract_y
_atom_site_fract_z
Nd1 Nd 0.0000 0.0000 0.0000
Th1 Th 0.5000 0.7301 0.7301
Cu1 Cu 0.5000 0.4368 0.4368
Pt1 Pt 0.0000 0.2714 0.2714
```

7.
Diffraction record for U2In8Au. The PXRD pattern is simulated, not measured: it uses a crystal structure in Alexandria, relaxed with GGA-PBE and λ = 1.5418 Å (Cu Kα).
Kinematic intensities with the Lorentz-polarization factor, no thermal factor.

Peak list (6 most intense, 10 to 80 degrees two-theta, in order of rising 2θ)
d/Å  I_rel
4.722  18
2.930  15
2.583  100
2.361  46
1.669  16
1.402  30

Crystal structure
```
data_U2In8Au
_chemical_formula_sum 'U2 In8 Au1'
_space_group_name_H-M_alt 'P 1'
_space_group_IT_number 1
_cell_length_a 4.7216
_cell_length_b 4.7216
_cell_length_c 12.2313
_cell_angle_alpha 90.00
_cell_angle_beta 90.00
_cell_angle_gamma 90.00
loop_
_space_group_symop_operation_xyz
'x,y,z'
loop_
_atom_site_label
_atom_site_type_symbol
_atom_site_fract_x
_atom_site_fract_y
_atom_site_fract_z
U1 U 0.0000 0.0000 0.1870
U2 U 0.0000 0.0000 0.8130
In1 In 0.0000 0.5000 0.0000
In2 In 0.0000 0.5000 0.3666
In3 In 0.0000 0.5000 0.6334
In4 In 0.5000 0.0000 0.0000
In5 In 0.5000 0.0000 0.3666
In6 In 0.5000 0.0000 0.6334
In7 In 0.5000 0.5000 0.1859
In8 In 0.5000 0.5000 0.8141
Au1 Au 0.0000 0.0000 0.5000
```

8.
Diffraction record for CsK2SmBr6. The PXRD pattern is simulated, not measured: it uses a crystal structure in Alexandria, relaxed with GGA-PBE and λ = 1.5418 Å (Cu Kα).
Kinematic intensities with the Lorentz-polarization factor, no thermal factor.

Peak list (6 most intense, 10 to 80 degrees two-theta, in order of rising 2θ)
d/Å  I_rel
6.019  88
4.371  39
3.613  100
2.749  87
2.436  41
2.396  54

Crystal structure
```
data_CsK2SmBr6
_chemical_formula_sum 'Cs1 K2 Sm1 Br6'
_space_group_name_H-M_alt 'P 1'
_space_group_IT_number 1
_cell_length_a 8.7659
_cell_length_b 8.7659
_cell_length_c 8.7659
_cell_angle_alpha 56.52
_cell_angle_beta 56.52
_cell_angle_gamma 56.52
loop_
_space_group_symop_operation_xyz
'x,y,z'
loop_
_atom_site_label
_atom_site_type_symbol
_atom_site_fract_x
_atom_site_fract_y
_atom_site_fract_z
Cs1 Cs 0.0000 0.0000 0.0000
K1 K 0.2826 0.2826 0.2826
K2 K 0.7978 0.7978 0.7978
Sm1 Sm 0.4838 0.4838 0.4838
Br1 Br 0.1197 0.6561 0.4251
Br2 Br 0.2475 0.5737 0.8369
Br3 Br 0.4251 0.1197 0.6561
Br4 Br 0.5737 0.8369 0.2475
Br5 Br 0.6561 0.4251 0.1197
Br6 Br 0.8369 0.2475 0.5737
```

9.
Diffraction record for Ba2AlSb2H4. The PXRD pattern is simulated, not measured: it uses a crystal structure in Alexandria, relaxed with GGA-PBE and λ = 1.5418 Å (Cu Kα).
Kinematic intensities with the Lorentz-polarization factor, no thermal factor.

Peak list (6 most intense, 10 to 80 degrees two-theta, in order of rising 2θ)
d/Å  I_rel
4.298  34
3.405  100
2.669  43
2.641  26
2.408  40
1.522  40

Crystal structure
```
data_Ba2AlSb2H4
_chemical_formula_sum 'Ba2 Al1 Sb2 H4'
_space_group_name_H-M_alt 'P 1'
_space_group_IT_number 1
_cell_length_a 6.4550
_cell_length_b 6.4550
_cell_length_c 6.4550
_cell_angle_alpha 116.32
_cell_angle_beta 116.32
_cell_angle_gamma 96.50
loop_
_space_group_symop_operation_xyz
'x,y,z'
loop_
_atom_site_label
_atom_site_type_symbol
_atom_site_fract_x
_atom_site_fract_y
_atom_site_fract_z
Ba1 Ba 0.2500 0.7500 0.5000
Ba2 Ba 0.7500 0.2500 0.5000
Al1 Al 0.0000 0.0000 0.0000
Sb1 Sb 0.3415 0.3415 0.0000
Sb2 Sb 0.6585 0.6585 0.0000
H1 H 0.1788 0.1788 0.3575
H2 H 0.1788 0.8212 0.0000
H3 H 0.8212 0.1788 0.0000
H4 H 0.8212 0.8212 0.6425
```

10.
Diffraction record for MnTl2Cl3. The PXRD pattern is simulated, not measured: it uses a crystal structure in Alexandria, relaxed with GGA-PBE and λ = 1.5418 Å (Cu Kα).
Kinematic intensities with the Lorentz-polarization factor, no thermal factor.

Peak list (6 most intense, 10 to 80 degrees two-theta, in order of rising 2θ)
d/Å  I_rel
4.841  34
4.041  36
3.694  47
3.447  63
3.360  100
2.584  67

Crystal structure
```
data_MnTl2Cl3
_chemical_formula_sum 'Mn1 Tl2 Cl3'
_space_group_name_H-M_alt 'P 1'
_space_group_IT_number 1
_cell_length_a 8.7626
_cell_length_b 8.7626
_cell_length_c 8.7626
_cell_angle_alpha 150.35
_cell_angle_beta 146.34
_cell_angle_gamma 45.46
loop_
_space_group_symop_operation_xyz
'x,y,z'
loop_
_atom_site_label
_atom_site_type_symbol
_atom_site_fract_x
_atom_site_fract_y
_atom_site_fract_z
Mn1 Mn 0.0000 0.0000 0.0000
Tl1 Tl 0.3586 0.3586 0.0000
Tl2 Tl 0.6414 0.6414 0.0000
Cl1 Cl 0.1483 0.1483 0.0000
Cl2 Cl 0.5000 0.0000 0.5000
Cl3 Cl 0.8517 0.8517 0.0000
```